ZnBO: calculated powder X-ray diffraction pattern (Cu Kα (weighted mean of Kα1 and Kα2)), based on a cell relaxed with PBE.
Lines closer than 0.1° are merged.

Top 8 peaks for 10 to 90 degrees two-theta, by intensity:
Position (°2θ)	intensity
42.94	100
31.94	92
48.55	83
40.23	63
45.39	55
44.42	46
43.49	45
53.33	33

Structural model:
abc: 4.432 2.460 11.212
angles: 90.00 91.68 90.00
Space group C2/m (No. 12)
Symmetry-distinct sites (fractional):
Zn 0.144 0.000 0.396 [4 per cell]
B 0.189 0.500 0.206 [4 per cell]
O 0.146 0.500 0.844 [4 per cell]